# HoEr3Pt2
Simulated X-ray powder pattern, copper Kα. Input: a GGA-PBE-relaxed structure.
Intensities are scaled so that the largest is 100.

Structural model:
Lattice parameters (Å, degrees): 4.742 8.727 7.099 90.00 90.00 90.00
Sites, in units of the cell vectors:
Ho1 0.000 0.082 0.000
Ho2 0.000 0.918 0.500
Er1 0.000 0.330 0.634
Er2 0.000 0.670 0.134
Er3 0.500 0.170 0.346
Er4 0.500 0.418 0.980
Er5 0.500 0.582 0.480
Er6 0.500 0.830 0.846
Pt1 0.000 0.344 0.232
Pt2 0.000 0.656 0.732
Pt3 0.500 0.157 0.748
Pt4 0.500 0.843 0.248

Principal peaks in the range 5 to 70 degrees two-theta, by angle:
two_theta  Rel. int.  h k l
30.6  83  1 2 1
31.5  33  1 0 2
33.2  100  1 1 2
36.2  70  1 3 0
37.9  67  2 0 0
44.6  31  1 3 2